Record 1
This entry pairs a crystal structure of KAg2AsS3 with its computed powder XRD pattern. Radiation: Cu Kα (λ = 1.5418 Å). Structure: a GGA-PBE-relaxed structure.

Principal peaks in the range 10 to 90 degrees two-theta, most intense first:
- (1 1 3), 28.76°, rel. 100
- (1 0 -3), 28.56°, rel. 92
- (0 3 1), 29.65°, rel. 91
- (2 1 0), 28.10°, rel. 86
- (1 0 3), 27.34°, rel. 68
- (2 0 0), 26.41°, rel. 67
- (1 1 -3), 30.30°, rel. 67
- (2 -2 0), 32.81°, rel. 57

```
data_KAg2AsS3
_space_group_name_H-M_alt 'P -1'
_space_group_IT_number 2
_space_group_name_Hall '-P 1'
_cell_length_a 6.758
_cell_length_b 9.341
_cell_length_c 10.889
_cell_angle_alpha 88.52
_cell_angle_beta 87.17
_cell_angle_gamma 89.65
loop_
_atom_site_label
_atom_site_fract_x
_atom_site_fract_y
_atom_site_fract_z
_atom_site_occupancy
K1 0.210 0.429 0.379 1
K2 0.289 0.569 0.865 1
Ag1 0.011 0.091 0.155 1
Ag2 0.088 0.846 0.454 1
Ag3 0.420 0.149 0.950 1
Ag4 0.484 0.257 0.649 1
As1 0.046 0.790 0.161 1
As2 0.479 0.939 0.646 1
S1 0.107 0.295 0.004 1
S2 0.116 0.325 0.673 1
S3 0.183 0.093 0.355 1
S4 0.341 0.665 0.160 1
S5 0.367 0.723 0.574 1
S6 0.372 0.908 0.848 1
```

Record 2
This entry pairs a crystal structure of NaLuZnS3 with its computed powder XRD pattern. Radiation: Cu Kα (λ = 1.5418 Å). Structure: a GGA-PBE-relaxed structure.

Principal peaks in the range 10 to 90 degrees two-theta, most intense first:
- (1 0 -1), 12.98°, rel. 100
- (0 2 0), 46.83°, rel. 27
- (2 1 0), 32.99°, rel. 26
- (2 1 -1), 32.54°, rel. 23
- (1 1 -3), 36.90°, rel. 16
- (1 1 1), 28.73°, rel. 15
- (0 0 3), 29.38°, rel. 15
- (0 1 2), 30.25°, rel. 14

```
data_NaLuZnS3
_space_group_name_H-M_alt 'P 1 21/m 1'
_space_group_IT_number 11
_space_group_name_Hall '-P 2yb'
_cell_length_a 7.900
_cell_length_b 3.878
_cell_length_c 9.475
_cell_angle_alpha 90.00
_cell_angle_beta 105.70
_cell_angle_gamma 90.00
loop_
_atom_site_label
_atom_site_fract_x
_atom_site_fract_y
_atom_site_fract_z
_atom_site_occupancy
Na1 0.196 0.250 0.195 1
Lu1 0.329 0.750 0.854 1
Zn1 0.082 0.250 0.604 1
S1 0.090 0.250 0.850 1
S2 0.223 0.750 0.545 1
S3 0.439 0.750 0.146 1
```

Record 3
This entry pairs a crystal structure of K3RbSb2Pd2 with its computed powder XRD pattern. Radiation: Cu Kα (λ = 1.5418 Å). Structure: a GGA-PBE-relaxed structure.

Principal peaks in the range 10 to 90 degrees two-theta, most intense first:
- (1 0 -1), 16.51°, rel. 100
- (1 2 1), 36.70°, rel. 69
- (1 1 -2), 30.64°, rel. 68
- (2 1 -1), 31.23°, rel. 61
- (1 1 0), 20.07°, rel. 42
- (0 0 1), 13.55°, rel. 40
- (0 2 2), 40.17°, rel. 35
- (3 0 -3), 50.98°, rel. 33

```
data_K3RbSb2Pd2
_space_group_name_H-M_alt 'P 1 m 1'
_space_group_IT_number 6
_space_group_name_Hall 'P -2y'
_cell_length_a 6.606
_cell_length_b 6.179
_cell_length_c 6.812
_cell_angle_alpha 90.00
_cell_angle_beta 106.41
_cell_angle_gamma 90.00
loop_
_atom_site_label
_atom_site_fract_x
_atom_site_fract_y
_atom_site_fract_z
_atom_site_occupancy
K1 0.000 0.000 0.000 1
K2 0.311 0.500 0.318 1
K3 0.653 0.000 0.334 1
Rb1 0.962 0.500 0.663 1
Sb1 0.234 0.000 0.564 1
Sb2 0.742 0.500 0.090 1
Pd1 0.461 0.242 0.860 1
```

Record 4
This entry pairs a crystal structure of TmZnO3 with its computed powder XRD pattern. Radiation: Cu Kα (λ = 1.5418 Å). Structure: a GGA-PBE-relaxed structure.

Principal peaks in the range 10 to 90 degrees two-theta, most intense first:
- (1 1 0), 32.54°, rel. 100
- (1 0 4), 34.44°, rel. 96
- (0 2 4), 48.11°, rel. 49
- (2 1 4), 59.29°, rel. 43
- (0 1 2), 23.52°, rel. 35
- (3 0 0), 58.06°, rel. 28
- (2 0 2), 40.54°, rel. 17
- (0 1 8), 62.89°, rel. 17

```
data_TmZnO3
_space_group_name_H-M_alt 'R -3 c'
_space_group_IT_number 167
_space_group_name_Hall '-R 3 2"c'
_cell_length_a 5.5032
_cell_length_b 5.5032
_cell_length_c 12.4359
_cell_angle_alpha 90.00
_cell_angle_beta 90.00
_cell_angle_gamma 120.00
loop_
_atom_site_label
_atom_site_fract_x
_atom_site_fract_y
_atom_site_fract_z
_atom_site_occupancy
Tm1 0.0000 0.0000 0.2500 1
Zn1 0.0000 0.0000 0.0000 1
O1 0.0000 0.3957 0.2500 1
```

Record 5
This entry pairs a crystal structure of Nb2Pb2Se4O15 with its computed powder XRD pattern. Radiation: Cu Kα (λ = 1.5418 Å). Structure: a GGA-PBE-relaxed structure.

Principal peaks in the range 10 to 90 degrees two-theta, most intense first:
- (2 2 1), 29.24°, rel. 100
- (8 0 0), 26.92°, rel. 87
- (5 1 -2), 30.68°, rel. 67
- (4 0 2), 27.73°, rel. 43
- (0 2 1), 28.24°, rel. 36
- (5 1 2), 32.48°, rel. 36
- (3 1 -2), 27.89°, rel. 32
- (10 2 1), 45.30°, rel. 31

```
data_Nb2Pb2Se4O15
_space_group_name_H-M_alt 'C 1 2/c 1'
_space_group_IT_number 15
_space_group_name_Hall '-C 2yc'
_cell_length_a 26.553
_cell_length_b 6.941
_cell_length_c 7.672
_cell_angle_alpha 90.00
_cell_angle_beta 94.03
_cell_angle_gamma 90.00
loop_
_atom_site_label
_atom_site_fract_x
_atom_site_fract_y
_atom_site_fract_z
_atom_site_occupancy
Nb1 0.072 0.010 0.237 1
Pb1 0.202 0.383 0.309 1
Se1 0.078 0.439 0.513 1
Se2 0.189 0.110 0.940 1
O1 0.000 0.007 0.250 1
O2 0.073 0.279 0.689 1
O3 0.074 0.288 0.330 1
O4 0.077 0.078 0.008 1
O5 0.140 0.494 0.529 1
O6 0.150 0.009 0.280 1
O7 0.218 0.269 0.812 1
O8 0.234 0.066 0.457 1
```

Record 6
This entry pairs a crystal structure of CuAg4 with its computed powder XRD pattern. Radiation: Cu Kα (λ = 1.5418 Å). Structure: a GGA-PBE-relaxed structure.

Principal peaks in the range 10 to 90 degrees two-theta, most intense first:
- (1 0 10), 38.04°, rel. 100
- (0 1 20), 44.59°, rel. 59
- (0 0 30), 39.31°, rel. 26
- (1 1 0), 64.02°, rel. 20
- (1 1 30), 77.78°, rel. 19
- (1 0 40), 65.77°, rel. 13
- (0 2 10), 76.97°, rel. 12
- (2 0 20), 81.37°, rel. 9

```
data_CuAg4
_space_group_name_H-M_alt 'R -3 m'
_space_group_IT_number 166
_space_group_name_Hall '-R 3 2"'
_cell_length_a 2.9086
_cell_length_b 2.9086
_cell_length_c 68.7596
_cell_angle_alpha 90.00
_cell_angle_beta 90.00
_cell_angle_gamma 120.00
loop_
_atom_site_label
_atom_site_fract_x
_atom_site_fract_y
_atom_site_fract_z
_atom_site_occupancy
Cu1 0.0000 0.0000 0.0485 1
Ag1 0.0000 0.0000 0.1492 1
Ag2 0.0000 0.0000 0.2540 1
Ag3 0.0000 0.0000 0.3510 1
Ag4 0.0000 0.0000 0.4476 1
```

Record 7
This entry pairs a crystal structure of Li2AlZnCu2Ag2 with its computed powder XRD pattern. Radiation: Cu Kα (λ = 1.5418 Å). Structure: a GGA-PBE-relaxed structure.

Principal peaks in the range 10 to 90 degrees two-theta, most intense first:
- (1 1 2), 41.84°, rel. 100
- (2 0 0), 41.71°, rel. 51
- (1 1 0), 29.16°, rel. 40
- (3 1 2), 76.22°, rel. 31
- (1 0 1), 25.23°, rel. 27
- (0 0 2), 29.34°, rel. 19
- (2 2 0), 60.45°, rel. 16
- (2 0 4), 76.50°, rel. 15

```
data_Li2AlZnCu2Ag2
_space_group_name_H-M_alt 'P -4 m 2'
_space_group_IT_number 115
_space_group_name_Hall 'P -4 -2'
_cell_length_a 4.331
_cell_length_b 4.331
_cell_length_c 6.088
_cell_angle_alpha 90.00
_cell_angle_beta 90.00
_cell_angle_gamma 90.00
loop_
_atom_site_label
_atom_site_fract_x
_atom_site_fract_y
_atom_site_fract_z
_atom_site_occupancy
Li1 0.000 0.000 0.000 1
Li2 0.500 0.500 0.500 1
Al1 0.000 0.000 0.500 1
Zn1 0.500 0.500 0.000 1
Cu1 0.000 0.500 0.255 1
Ag1 0.000 0.500 0.750 1
```

Record 8
This entry pairs a crystal structure of Na4ZnIn2Hg with its computed powder XRD pattern. Radiation: Cu Kα (λ = 1.5418 Å). Structure: a GGA-PBE-relaxed structure.

Principal peaks in the range 10 to 90 degrees two-theta, most intense first:
- (2 0 0), 34.99°, rel. 100
- (1 0 1), 21.22°, rel. 53
- (3 1 2), 62.76°, rel. 35
- (2 1 1), 41.28°, rel. 29
- (3 0 1), 55.20°, rel. 12
- (2 2 0), 50.37°, rel. 12
- (4 2 0), 84.56°, rel. 10
- (1 0 0), 17.31°, rel. 8

```
data_Na4ZnIn2Hg
_space_group_name_H-M_alt 'P -4 m 2'
_space_group_IT_number 115
_space_group_name_Hall 'P -4 -2'
_cell_length_a 5.124
_cell_length_b 5.124
_cell_length_c 7.265
_cell_angle_alpha 90.00
_cell_angle_beta 90.00
_cell_angle_gamma 90.00
loop_
_atom_site_label
_atom_site_fract_x
_atom_site_fract_y
_atom_site_fract_z
_atom_site_occupancy
Na1 0.000 0.000 0.000 1
Na2 0.000 0.500 0.247 1
Na3 0.500 0.500 0.500 1
Zn1 0.500 0.500 0.000 1
In1 0.000 0.500 0.762 1
Hg1 0.000 0.000 0.500 1
```

Record 9
This entry pairs a crystal structure of Nd3SnSe3O4 with its computed powder XRD pattern. Radiation: Cu Kα (λ = 1.5418 Å). Structure: a GGA-PBE-relaxed structure.

Principal peaks in the range 10 to 90 degrees two-theta, most intense first:
- (0 1 3), 30.78°, rel. 100
- (2 1 1), 31.77°, rel. 54
- (2 0 2), 25.26°, rel. 53
- (2 0 4), 35.14°, rel. 28
- (2 1 5), 47.40°, rel. 23
- (4 1 3), 53.66°, rel. 21
- (0 2 0), 45.85°, rel. 19
- (0 0 6), 42.27°, rel. 15

```
data_Nd3SnSe3O4
_space_group_name_H-M_alt 'A m m 2'
_space_group_IT_number 38
_space_group_name_Hall 'A 2 -2'
_cell_length_a 8.442
_cell_length_b 3.958
_cell_length_c 12.828
_cell_angle_alpha 90.00
_cell_angle_beta 90.00
_cell_angle_gamma 90.00
loop_
_atom_site_label
_atom_site_fract_x
_atom_site_fract_y
_atom_site_fract_z
_atom_site_occupancy
Nd1 0.000 0.000 0.000 1
Nd2 0.263 0.000 0.671 1
Sn1 0.500 0.000 0.993 1
Se1 0.148 0.000 0.340 1
Se2 0.500 0.000 0.302 1
O1 0.000 0.000 0.601 1
O2 0.263 0.000 0.070 1
O3 0.500 0.000 0.576 1
```

Record 10
This entry pairs a crystal structure of HfZrAl6 with its computed powder XRD pattern. Radiation: Cu Kα (λ = 1.5418 Å). Structure: a GGA-PBE-relaxed structure.

Principal peaks in the range 10 to 90 degrees two-theta, most intense first:
- (1 1 4), 38.00°, rel. 100
- (1 0 1), 22.80°, rel. 57
- (2 0 0), 45.31°, rel. 31
- (0 0 4), 20.55°, rel. 29
- (1 0 3), 27.12°, rel. 28
- (1 0 5), 34.27°, rel. 26
- (3 1 4), 78.79°, rel. 23
- (2 0 8), 63.34°, rel. 21

```
data_HfZrAl6
_space_group_name_H-M_alt 'I 4 m m'
_space_group_IT_number 107
_space_group_name_Hall 'I 4 -2'
_cell_length_a 4.003
_cell_length_b 4.003
_cell_length_c 17.289
_cell_angle_alpha 90.00
_cell_angle_beta 90.00
_cell_angle_gamma 90.00
loop_
_atom_site_label
_atom_site_fract_x
_atom_site_fract_y
_atom_site_fract_z
_atom_site_occupancy
Hf1 0.000 0.000 0.000 1
Zr1 0.000 0.000 0.762 1
Al1 0.000 0.000 0.256 1
Al2 0.000 0.000 0.506 1
Al3 0.000 0.500 0.130 1
Al4 0.000 0.500 0.381 1
```

Record 11
This entry pairs a crystal structure of Li2TbZrN2O2 with its computed powder XRD pattern. Radiation: Cu Kα (λ = 1.5418 Å). Structure: a GGA-PBE-relaxed structure.

Principal peaks in the range 10 to 90 degrees two-theta, most intense first:
- (1 1 0), 27.34°, rel. 100
- (0 0 1), 20.45°, rel. 92
- (1 1 1), 34.39°, rel. 72
- (2 0 0), 39.05°, rel. 65
- (2 0 1), 44.48°, rel. 48
- (2 0 2), 58.37°, rel. 37
- (1 1 2), 50.50°, rel. 37
- (0 0 2), 41.60°, rel. 27

```
data_Li2TbZrN2O2
_space_group_name_H-M_alt 'P -4 m 2'
_space_group_IT_number 115
_space_group_name_Hall 'P -4 -2'
_cell_length_a 4.613
_cell_length_b 4.613
_cell_length_c 4.342
_cell_angle_alpha 90.00
_cell_angle_beta 90.00
_cell_angle_gamma 90.00
loop_
_atom_site_label
_atom_site_fract_x
_atom_site_fract_y
_atom_site_fract_z
_atom_site_occupancy
Li1 0.000 0.500 0.001 1
Tb1 0.500 0.500 0.500 1
Zr1 0.000 0.000 0.500 1
N1 0.000 0.500 0.501 1
O1 0.000 0.000 0.000 1
O2 0.500 0.500 0.000 1
```

Record 12
This entry pairs a crystal structure of ErMgCuSe3 with its computed powder XRD pattern. Radiation: Cu Kα (λ = 1.5418 Å). Structure: a GGA-PBE-relaxed structure.

Principal peaks in the range 10 to 90 degrees two-theta, most intense first:
- (1 0 -1), 13.81°, rel. 100
- (2 1 0), 33.25°, rel. 74
- (0 0 3), 29.76°, rel. 66
- (1 1 -3), 38.08°, rel. 51
- (2 1 -1), 33.40°, rel. 50
- (1 1 0), 25.98°, rel. 43
- (0 2 0), 47.19°, rel. 30
- (2 1 -4), 49.09°, rel. 25

```
data_ErMgCuSe3
_space_group_name_H-M_alt 'P 1 21/m 1'
_space_group_IT_number 11
_space_group_name_Hall '-P 2yb'
_cell_length_a 7.680
_cell_length_b 3.852
_cell_length_c 9.173
_cell_angle_alpha 90.00
_cell_angle_beta 100.93
_cell_angle_gamma 90.00
loop_
_atom_site_label
_atom_site_fract_x
_atom_site_fract_y
_atom_site_fract_z
_atom_site_occupancy
Er1 0.182 0.250 0.175 1
Mg1 0.297 0.750 0.722 1
Cu1 0.420 0.750 0.420 1
Se1 0.095 0.250 0.848 1
Se2 0.239 0.250 0.488 1
Se3 0.442 0.750 0.156 1
```

Copy entry 5 word for word.
This entry pairs a crystal structure of Nb2Pb2Se4O15 with its computed powder XRD pattern. Radiation: Cu Kα (λ = 1.5418 Å). Structure: a GGA-PBE-relaxed structure.

Principal peaks in the range 10 to 90 degrees two-theta, most intense first:
- (2 2 1), 29.24°, rel. 100
- (8 0 0), 26.92°, rel. 87
- (5 1 -2), 30.68°, rel. 67
- (4 0 2), 27.73°, rel. 43
- (0 2 1), 28.24°, rel. 36
- (5 1 2), 32.48°, rel. 36
- (3 1 -2), 27.89°, rel. 32
- (10 2 1), 45.30°, rel. 31

```
data_Nb2Pb2Se4O15
_space_group_name_H-M_alt 'C 1 2/c 1'
_space_group_IT_number 15
_space_group_name_Hall '-C 2yc'
_cell_length_a 26.553
_cell_length_b 6.941
_cell_length_c 7.672
_cell_angle_alpha 90.00
_cell_angle_beta 94.03
_cell_angle_gamma 90.00
loop_
_atom_site_label
_atom_site_fract_x
_atom_site_fract_y
_atom_site_fract_z
_atom_site_occupancy
Nb1 0.072 0.010 0.237 1
Pb1 0.202 0.383 0.309 1
Se1 0.078 0.439 0.513 1
Se2 0.189 0.110 0.940 1
O1 0.000 0.007 0.250 1
O2 0.073 0.279 0.689 1
O3 0.074 0.288 0.330 1
O4 0.077 0.078 0.008 1
O5 0.140 0.494 0.529 1
O6 0.150 0.009 0.280 1
O7 0.218 0.269 0.812 1
O8 0.234 0.066 0.457 1
```